Simulated X-ray diffraction stick pattern
Compound: K2MnF6
Radiation: copper Kα
Structure: the PBE+U geometry in Alexandria

The 6 most intense peaks (15 to 90 degrees two-theta), sorted by position:
| (hkl) | 2θ/deg | d/Å | intensity |
| --- | --- | --- | --- |
| 1 0 1 | 19.92 | 4.458 | 75 |
| 1 0 2 | 25.73 | 3.462 | 59 |
| 1 1 0 | 30.69 | 2.913 | 54 |
| 1 0 3 | 33.36 | 2.686 | 27 |
| 2 0 2 | 40.47 | 2.229 | 100 |
| 2 0 3 | 45.96 | 1.975 | 41 |

Structure:
Lattice parameters (Å, degrees): 5.8261 5.8261 9.5176 90.00 90.00 120.00
Space group P6_3mc (No. 186)
Unique sites:
K 0.0000 0.0000 0.0000 x2
K 0.3333 0.6667 0.2743 x2
Mn 0.3333 0.6667 0.6585 x2
F 0.0366 0.5183 0.5448 x6
F 0.1803 0.3606 0.7658 x6